For Pr2Tm4Th3, a GGA-PBE-relaxed structure gives the theoretical powder diffractogram in this record (a wavelength of 1.5418 Å).

Peak list (10 most intense, 5 to 70 degrees two-theta, low angle first)
- (1 0 0), 3.084 Å, 28.95°, I = 41
- (0 0 9), 2.958 Å, 30.21°, I = 42
- (0 1 3), 2.913 Å, 30.69°, I = 12
- (0 1 4), 2.798 Å, 31.98°, I = 54
- (1 0 5), 2.669 Å, 33.58°, I = 100
- (1 0 9), 2.135 Å, 42.34°, I = 25
- (1 1 0), 1.781 Å, 51.31°, I = 34
- (0 1 14), 1.619 Å, 56.88°, I = 30
- (1 1 9), 1.526 Å, 60.71°, I = 35
- (0 2 5), 1.481 Å, 62.74°, I = 20

```
Pr2Tm4Th3
1.0
3.5613 0.0000 0.0000
-1.7807 3.0842 0.0000
0.0000 0.0000 26.6229
Pr Tm Th
2 4 3
Direct
0.0000 0.0000 0.0000
0.0000 0.0000 0.2255
0.0000 0.0000 0.3536
0.0000 0.0000 0.5691
0.3333 0.6667 0.6729
0.3333 0.6667 0.8886
0.0000 0.0000 0.7813
0.3333 0.6667 0.1140
0.3333 0.6667 0.4591
```